Entry 1:
# LiTbEu
Computed powder XRD pattern, Cu Kα. Input: a crystal structure in Alexandria, relaxed with PBE.

Peak list (12 most intense, 2θ from 5° to 70°, in order of falling intensity)
- d 2.850, 2θ = 31.4°, rel. 1000
- d 3.630, 2θ = 24.5°, rel. 655
- d 2.673, 2θ = 33.5°, rel. 466
- d 1.575, 2θ = 58.6°, rel. 339
- d 2.065, 2θ = 43.8°, rel. 273
- d 3.253, 2θ = 27.4°, rel. 241
- d 1.668, 2θ = 55.1°, rel. 194
- d 1.890, 2θ = 48.1°, rel. 169
- d 6.505, 2θ = 13.6°, rel. 158
- d 1.684, 2θ = 54.5°, rel. 151
- d 1.676, 2θ = 54.8°, rel. 146
- d 1.634, 2θ = 56.3°, rel. 130

Atomic structure:
```
3
Lattice="-1.890 1.890 6.505 1.890 -1.890 6.505 1.890 1.890 -6.505" Properties=species:S:1:pos:R:3 pbc="T T T"
Li 0.000 0.000 0.000
Tb 0.000 0.000 8.340
Eu 0.000 0.000 4.445
```

---

Entry 2:
# LiEuTe
Computed powder XRD pattern, Cu Kα. Input: a crystal structure in Alexandria, relaxed with PBE.

Peak list (12 most intense, 2θ from 5° to 70°, in order of falling intensity)
- d 2.950, 2θ = 30.3°, rel. 1000
- d 2.287, 2θ = 39.4°, rel. 338
- d 3.962, 2θ = 22.4°, rel. 333
- d 1.808, 2θ = 50.5°, rel. 239
- d 1.589, 2θ = 58.0°, rel. 216
- d 1.418, 2θ = 65.9°, rel. 215
- d 2.210, 2θ = 40.8°, rel. 102
- d 1.381, 2θ = 67.9°, rel. 98
- d 1.930, 2θ = 47.1°, rel. 94
- d 1.981, 2θ = 45.8°, rel. 51
- d 1.497, 2θ = 62.0°, rel. 41
- d 1.475, 2θ = 63.0°, rel. 39

Atomic structure:
```
3
Lattice="4.575 0.000 0.000 -2.287 3.962 0.000 0.000 0.000 4.420" Properties=species:S:1:pos:R:3 pbc="T T T"
Li 0.000 0.000 0.000
Eu 0.000 2.641 2.210
Te 2.287 1.321 0.000
```

---

Entry 3:
# Eu2LuMg
Computed powder XRD pattern, Cu Kα. Input: a crystal structure in Alexandria, relaxed with PBE.

Peak list (12 most intense, 2θ from 5° to 70°, in order of falling intensity)
- d 2.951, 2θ = 30.3°, rel. 1000
- d 2.611, 2θ = 34.3°, rel. 365
- d 1.565, 2θ = 59.0°, rel. 302
- d 9.819, 2θ = 9.0°, rel. 226
- d 1.789, 2θ = 51.1°, rel. 222
- d 3.456, 2θ = 25.8°, rel. 176
- d 2.454, 2θ = 36.6°, rel. 157
- d 1.846, 2θ = 49.4°, rel. 131
- d 1.476, 2θ = 63.0°, rel. 124
- d 1.496, 2θ = 62.0°, rel. 114
- d 2.042, 2θ = 44.4°, rel. 81
- d 3.273, 2θ = 27.2°, rel. 63

Atomic structure:
```
4
Lattice="3.693 0.000 0.000 0.000 3.693 0.000 0.000 0.000 9.819" Properties=species:S:1:pos:R:3 pbc="T T T"
Eu 0.000 0.000 2.328
Eu 0.000 0.000 7.491
Lu 1.846 1.846 4.910
Mg 1.846 1.846 0.000
```

---

Entry 4:
# EuLuNi2
Computed powder XRD pattern, Cu Kα. Input: a crystal structure in Alexandria, relaxed with PBE.

Peak list (12 most intense, 2θ from 5° to 70°, in order of falling intensity)
- d 2.410, 2θ = 37.3°, rel. 1000
- d 2.385, 2θ = 37.7°, rel. 519
- d 1.382, 2θ = 67.8°, rel. 338
- d 3.373, 2θ = 26.4°, rel. 236
- d 1.686, 2θ = 54.4°, rel. 177
- d 3.447, 2θ = 25.9°, rel. 145
- d 1.397, 2θ = 67.0°, rel. 144
- d 1.961, 2θ = 46.3°, rel. 127
- d 1.535, 2θ = 60.3°, rel. 84
- d 1.723, 2θ = 53.1°, rel. 73
- d 1.515, 2θ = 61.2°, rel. 57
- d 1.508, 2θ = 61.5°, rel. 49

Atomic structure:
```
4
Lattice="3.373 0.000 0.000 0.000 3.373 0.000 0.000 0.000 6.893" Properties=species:S:1:pos:R:3 pbc="T T T"
Eu 0.000 0.000 0.000
Lu 0.000 0.000 3.447
Ni 1.686 1.686 1.993
Ni 1.686 1.686 4.900
```

---

Entry 5:
# EuLuPtPb
Computed powder XRD pattern, Cu Kα. Input: a crystal structure in Alexandria, relaxed with PBE.

Peak list (5 most intense, 2θ from 5° to 70°, in order of falling intensity)
- d 2.608, 2θ = 34.4°, rel. 1000
- d 1.506, 2θ = 61.6°, rel. 379
- d 1.844, 2θ = 49.4°, rel. 182
- d 3.689, 2θ = 24.1°, rel. 11
- d 1.650, 2θ = 55.7°, rel. 5

Atomic structure:
```
4
Lattice="0.000 3.689 3.689 3.689 0.000 3.689 3.689 3.689 0.000" Properties=species:S:1:pos:R:3 pbc="T T T"
Eu 0.000 0.000 0.000
Lu 3.689 3.689 3.689
Pt 5.533 5.533 5.533
Pb 1.844 1.844 1.844
```

---

Entry 6:
# EuLuPdPt
Computed powder XRD pattern, Cu Kα. Input: a crystal structure in Alexandria, relaxed with PBE.

Peak list (7 most intense, 2θ from 5° to 70°, in order of falling intensity)
- d 2.479, 2θ = 36.2°, rel. 1000
- d 1.431, 2θ = 65.2°, rel. 362
- d 1.753, 2θ = 52.2°, rel. 177
- d 4.048, 2θ = 22.0°, rel. 42
- d 2.114, 2θ = 42.8°, rel. 24
- d 1.609, 2θ = 57.3°, rel. 11
- d 1.349, 2θ = 69.7°, rel. 8

Atomic structure:
```
4
Lattice="0.000 3.506 3.506 3.506 0.000 3.506 3.506 3.506 0.000" Properties=species:S:1:pos:R:3 pbc="T T T"
Eu 0.000 0.000 0.000
Lu 3.506 3.506 3.506
Pd 5.259 5.259 5.259
Pt 1.753 1.753 1.753
```